No. 1
Tm4HgGeC: calculated powder XRD pattern (Cu Kα (weighted mean of Kα1 and Kα2)), based on a DFT-relaxed cell (PBE, Alexandria).

Largest 6 diffraction maxima, in order of falling intensity, 2θ = 5–70°:
2θ/deg	I (rel.)	hkl
36.4	100	2 4 0
37.8	73	2 0 2
29.2	44	2 2 0
29.3	43	0 2 2
54.1	33	2 6 2
37.2	24	0 6 0

Crystal structure
```
data_Tm4HgGeC
_symmetry_space_group_name_H-M 'C m c m'
_symmetry_Int_Tables_number 63
_symmetry_space_group_name_Hall '-C 2c 2'
_cell_length_a 6.748
_cell_length_b 14.497
_cell_length_c 6.719
_cell_angle_alpha 90.00
_cell_angle_beta 90.00
_cell_angle_gamma 90.00
loop_
_atom_site_label
_atom_site_type_symbol
_atom_site_fract_x
_atom_site_fract_y
_atom_site_fract_z
_atom_site_occupancy
Tm1 Tm 0.000 0.080 0.250 1
Tm2 Tm 0.000 0.417 0.250 1
Tm3 Tm 0.250 0.250 0.000 1
Hg1 Hg 0.000 0.385 0.750 1
Ge1 Ge 0.000 0.123 0.750 1
C1 C 0.000 0.248 0.250 1
```

No. 2
Ho4GePbC: calculated powder XRD pattern (Cu Kα (weighted mean of Kα1 and Kα2)), based on a DFT-relaxed cell (PBE, Alexandria).

Largest 6 diffraction maxima, in order of falling intensity, 2θ = 5–70°:
2θ/deg	I (rel.)	hkl
35.3	100	2 4 0
29.0	77	2 2 0
38.0	63	2 0 2
52.3	42	2 6 2
34.5	38	0 6 0
66.9	32	4 4 2

Crystal structure
```
data_Ho4GePbC
_symmetry_space_group_name_H-M 'C m c m'
_symmetry_Int_Tables_number 63
_symmetry_space_group_name_Hall '-C 2c 2'
_cell_length_a 6.696
_cell_length_b 15.589
_cell_length_c 6.699
_cell_angle_alpha 90.00
_cell_angle_beta 90.00
_cell_angle_gamma 90.00
loop_
_atom_site_label
_atom_site_type_symbol
_atom_site_fract_x
_atom_site_fract_y
_atom_site_fract_z
_atom_site_occupancy
Ho1 Ho 0.000 0.083 0.250 1
Ho2 Ho 0.000 0.408 0.250 1
Ho3 Ho 0.250 0.250 0.000 1
Ge1 Ge 0.000 0.115 0.750 1
Pb1 Pb 0.000 0.394 0.750 1
C1 C 0.000 0.248 0.250 1
```

No. 3
GeCI2O: calculated powder XRD pattern (Cu Kα (weighted mean of Kα1 and Kα2)), based on a DFT-relaxed cell (PBE, Alexandria).

Largest 6 diffraction maxima, in order of falling intensity, 2θ = 5–70°:
2θ/deg	I (rel.)	hkl
35.6	100	1 1 1
31.1	83	2 0 0
58.3	47	3 1 1
21.8	34	1 1 0
44.5	30	2 2 0
66.8	17	2 0 2

Crystal structure
```
data_GeCI2O
_symmetry_space_group_name_H-M 'P 4/m m m'
_symmetry_Int_Tables_number 123
_symmetry_space_group_name_Hall '-P 4 2'
_cell_length_a 5.757
_cell_length_b 5.757
_cell_length_c 3.206
_cell_angle_alpha 90.00
_cell_angle_beta 90.00
_cell_angle_gamma 90.00
loop_
_atom_site_label
_atom_site_type_symbol
_atom_site_fract_x
_atom_site_fract_y
_atom_site_fract_z
_atom_site_occupancy
Ge1 Ge 0.000 0.000 0.000 1
C1 C 0.500 0.500 0.500 1
I1 I 0.000 0.500 0.500 1
O1 O 0.500 0.500 0.000 1
```

No. 4
La5Ge2C: calculated powder XRD pattern (Cu Kα (weighted mean of Kα1 and Kα2)), based on a DFT-relaxed cell (PBE, Alexandria).

Largest 6 diffraction maxima, in order of falling intensity, 2θ = 5–70°:
2θ/deg	I (rel.)	hkl
25.6	100	1 3 0
30.0	85	2 0 0
34.2	79	0 4 3
46.1	68	2 4 3
37.0	50	1 1 5
26.4	42	1 3 1

Crystal structure
```
data_La5Ge2C
_symmetry_space_group_name_H-M 'C m c m'
_symmetry_Int_Tables_number 63
_symmetry_space_group_name_Hall '-C 2c 2'
_cell_length_a 5.957
_cell_length_b 12.869
_cell_length_c 13.613
_cell_angle_alpha 90.00
_cell_angle_beta 90.00
_cell_angle_gamma 90.00
loop_
_atom_site_label
_atom_site_type_symbol
_atom_site_fract_x
_atom_site_fract_y
_atom_site_fract_z
_atom_site_occupancy
La1 La 0.000 0.056 0.126 1
La2 La 0.000 0.303 0.750 1
La3 La 0.000 0.334 0.106 1
Ge1 Ge 0.000 0.177 0.567 1
C1 C 0.000 0.200 0.250 1
```

No. 5
La3TmGe2C: calculated powder XRD pattern (Cu Kα (weighted mean of Kα1 and Kα2)), based on a DFT-relaxed cell (PBE, Alexandria).

Largest 6 diffraction maxima, in order of falling intensity, 2θ = 5–70°:
2θ/deg	I (rel.)	hkl
28.3	100	1 1 2
34.3	92	1 1 4
36.3	34	0 2 0
33.4	32	0 0 6
37.7	31	2 0 0
11.0	26	0 0 2

Crystal structure
```
data_La3TmGe2C
_symmetry_space_group_name_H-M 'I m m m'
_symmetry_Int_Tables_number 71
_symmetry_space_group_name_Hall '-I 2 2'
_cell_length_a 4.771
_cell_length_b 4.945
_cell_length_c 16.113
_cell_angle_alpha 90.00
_cell_angle_beta 90.00
_cell_angle_gamma 90.00
loop_
_atom_site_label
_atom_site_type_symbol
_atom_site_fract_x
_atom_site_fract_y
_atom_site_fract_z
_atom_site_occupancy
La1 La 0.000 0.000 0.000 1
La2 La 0.000 0.500 0.169 1
Tm1 Tm 0.000 0.000 0.500 1
Ge1 Ge 0.000 0.500 0.366 1
C1 C 0.000 0.500 0.000 1
```

No. 6
Mn22GeC6: calculated powder XRD pattern (Cu Kα (weighted mean of Kα1 and Kα2)), based on a DFT-relaxed cell (PBE, Alexandria).

Largest 6 diffraction maxima, in order of falling intensity, 2θ = 5–70°:
2θ/deg	I (rel.)	hkl
45.2	100	3 3 3
42.5	29	4 2 2
49.4	23	4 4 0
51.9	22	5 3 1
38.6	18	4 2 0
52.7	13	6 0 0

Crystal structure
```
data_Mn22GeC6
_symmetry_space_group_name_H-M 'F m -3 m'
_symmetry_Int_Tables_number 225
_symmetry_space_group_name_Hall '-F 4 2 3'
_cell_length_a 10.429
_cell_length_b 10.429
_cell_length_c 10.429
_cell_angle_alpha 90.00
_cell_angle_beta 90.00
_cell_angle_gamma 90.00
loop_
_atom_site_label
_atom_site_type_symbol
_atom_site_fract_x
_atom_site_fract_y
_atom_site_fract_z
_atom_site_occupancy
Mn1 Mn 0.000 0.171 0.171 1
Mn2 Mn 0.118 0.118 0.382 1
Mn3 Mn 0.250 0.250 0.250 1
Ge1 Ge 0.000 0.000 0.000 1
C1 C 0.000 0.000 0.280 1
```

No. 7
Mn6Ge2CN: calculated powder XRD pattern (Cu Kα (weighted mean of Kα1 and Kα2)), based on a DFT-relaxed cell (PBE, Alexandria).

Largest 4 diffraction maxima, in order of falling intensity, 2θ = 5–70°:
2θ/deg	I (rel.)	hkl
41.3	100	1 1 2
48.1	56	2 0 0
33.5	5	1 1 0
59.9	2	2 1 2

Crystal structure
```
data_Mn6Ge2CN
_symmetry_space_group_name_H-M 'P 4/m m m'
_symmetry_Int_Tables_number 123
_symmetry_space_group_name_Hall '-P 4 2'
_cell_length_a 3.783
_cell_length_b 3.783
_cell_length_c 7.568
_cell_angle_alpha 90.00
_cell_angle_beta 90.00
_cell_angle_gamma 90.00
loop_
_atom_site_label
_atom_site_type_symbol
_atom_site_fract_x
_atom_site_fract_y
_atom_site_fract_z
_atom_site_occupancy
Mn1 Mn 0.000 0.000 0.248 1
Mn2 Mn 0.000 0.500 0.000 1
Mn3 Mn 0.000 0.500 0.500 1
Ge1 Ge 0.500 0.500 0.254 1
C1 C 0.000 0.000 0.500 1
N1 N 0.000 0.000 0.000 1
```

Please write out number 2 again, unchanged.
Ho4GePbC: calculated powder XRD pattern (Cu Kα (weighted mean of Kα1 and Kα2)), based on a DFT-relaxed cell (PBE, Alexandria).

Largest 6 diffraction maxima, in order of falling intensity, 2θ = 5–70°:
2θ/deg	I (rel.)	hkl
35.3	100	2 4 0
29.0	77	2 2 0
38.0	63	2 0 2
52.3	42	2 6 2
34.5	38	0 6 0
66.9	32	4 4 2

Crystal structure
```
data_Ho4GePbC
_symmetry_space_group_name_H-M 'C m c m'
_symmetry_Int_Tables_number 63
_symmetry_space_group_name_Hall '-C 2c 2'
_cell_length_a 6.696
_cell_length_b 15.589
_cell_length_c 6.699
_cell_angle_alpha 90.00
_cell_angle_beta 90.00
_cell_angle_gamma 90.00
loop_
_atom_site_label
_atom_site_type_symbol
_atom_site_fract_x
_atom_site_fract_y
_atom_site_fract_z
_atom_site_occupancy
Ho1 Ho 0.000 0.083 0.250 1
Ho2 Ho 0.000 0.408 0.250 1
Ho3 Ho 0.250 0.250 0.000 1
Ge1 Ge 0.000 0.115 0.750 1
Pb1 Pb 0.000 0.394 0.750 1
C1 C 0.000 0.248 0.250 1
```